The following is a computed powder diffraction line list of DyGa4Pd6. It was derived from a cell relaxed with GGA-PBE, using a wavelength of 1.5418 Å.

Largest 6 diffraction maxima, low angle first, 2θ from 10° to 90°:
| 2theta | I_rel |
| --- | --- |
| 33.5 | 25 |
| 36.4 | 100 |
| 37.2 | 34 |
| 44.2 | 29 |
| 46.8 | 23 |
| 49.4 | 27 |

Structure:
```
data_DyGa4Pd6
_chemical_formula_sum 'Dy1 Ga4 Pd6'
_cell_length_a 7.3781
_cell_length_b 7.3781
_cell_length_c 3.8806
_cell_angle_alpha 90.00
_cell_angle_beta 90.00
_cell_angle_gamma 120.00
_symmetry_space_group_name_H-M 'P 1'
_symmetry_Int_Tables_number 1
loop_
_symmetry_equiv_pos_as_xyz
'x,y,z'
loop_
_atom_site_label
_atom_site_fract_x
_atom_site_fract_y
_atom_site_fract_z
Dy1 0.0000 0.0000 0.0000
Ga1 0.3333 0.6667 0.0000
Ga2 0.3961 0.1981 0.5000
Ga3 0.8019 0.1981 0.5000
Ga4 0.8019 0.6039 0.5000
Pd1 0.1965 0.3930 0.5000
Pd2 0.1965 0.8035 0.5000
Pd3 0.5336 0.0671 0.0000
Pd4 0.5336 0.4664 0.0000
Pd5 0.6070 0.8035 0.5000
Pd6 0.9329 0.4664 0.0000
```

---

The following is a computed powder diffraction line list of Dy2Ga3Pd. It was derived from a cell relaxed with GGA-PBE, using a wavelength of 1.5418 Å.

Largest 6 diffraction maxima, low angle first, 2θ from 10° to 90°:
| 2theta | I_rel |
| --- | --- |
| 33.2 | 41 |
| 34.0 | 40 |
| 34.1 | 99 |
| 34.5 | 100 |
| 40.6 | 66 |
| 40.9 | 95 |

Structure:
```
data_Dy2Ga3Pd
_chemical_formula_sum 'Dy2 Ga3 Pd1'
_cell_length_a 5.6206
_cell_length_b 5.6206
_cell_length_c 7.1465
_cell_angle_alpha 128.24
_cell_angle_beta 128.24
_cell_angle_gamma 46.53
_symmetry_space_group_name_H-M 'P 1'
_symmetry_Int_Tables_number 1
loop_
_symmetry_equiv_pos_as_xyz
'x,y,z'
loop_
_atom_site_label
_atom_site_fract_x
_atom_site_fract_y
_atom_site_fract_z
Dy1 0.0000 0.0000 0.0000
Dy2 0.0834 0.0834 0.5898
Ga1 0.3767 0.3767 0.1923
Ga2 0.6994 0.6994 0.9966
Ga3 0.7048 0.7048 0.4056
Pd1 0.3743 0.3743 0.5804
```

---

The following is a computed powder diffraction line list of Dy4Ga16Pd3. It was derived from a cell relaxed with GGA-PBE, using a wavelength of 1.5418 Å.

Largest 6 diffraction maxima, low angle first, 2θ from 10° to 90°:
| 2theta | I_rel |
| --- | --- |
| 31.7 | 39 |
| 33.0 | 27 |
| 37.8 | 100 |
| 41.0 | 73 |
| 59.4 | 23 |
| 72.6 | 24 |

Structure:
```
data_Dy4Ga16Pd3
_chemical_formula_sum 'Dy4 Ga16 Pd3'
_cell_length_a 6.2257
_cell_length_b 6.2257
_cell_length_c 11.0636
_cell_angle_alpha 90.00
_cell_angle_beta 90.00
_cell_angle_gamma 90.00
_symmetry_space_group_name_H-M 'P 1'
_symmetry_Int_Tables_number 1
loop_
_symmetry_equiv_pos_as_xyz
'x,y,z'
loop_
_atom_site_label
_atom_site_fract_x
_atom_site_fract_y
_atom_site_fract_z
Dy1 0.0000 0.5000 0.1901
Dy2 0.0000 0.5000 0.8099
Dy3 0.5000 0.0000 0.1901
Dy4 0.5000 0.0000 0.8099
Ga1 0.0000 0.0000 0.2005
Ga2 0.0000 0.0000 0.7995
Ga3 0.2104 0.2104 0.0000
Ga4 0.2104 0.7896 0.0000
Ga5 0.2441 0.2441 0.3751
Ga6 0.2441 0.2441 0.6249
Ga7 0.2441 0.7559 0.3751
Ga8 0.2441 0.7559 0.6249
Ga9 0.5000 0.5000 0.2318
Ga10 0.5000 0.5000 0.7682
Ga11 0.7559 0.2441 0.3751
Ga12 0.7559 0.2441 0.6249
Ga13 0.7559 0.7559 0.3751
Ga14 0.7559 0.7559 0.6249
Ga15 0.7896 0.2104 0.0000
Ga16 0.7896 0.7896 0.0000
Pd1 0.0000 0.5000 0.5000
Pd2 0.5000 0.0000 0.5000
Pd3 0.5000 0.5000 0.0000
```

---

The following is a computed powder diffraction line list of DyGa6Pd6. It was derived from a cell relaxed with GGA-PBE, using a wavelength of 1.5418 Å.

Largest 6 diffraction maxima, low angle first, 2θ from 10° to 90°:
| 2theta | I_rel |
| --- | --- |
| 37.8 | 62 |
| 37.9 | 32 |
| 39.3 | 100 |
| 43.3 | 35 |
| 43.8 | 58 |
| 43.9 | 28 |

Structure:
```
data_DyGa6Pd6
_chemical_formula_sum 'Dy1 Ga6 Pd6'
_cell_length_a 6.8952
_cell_length_b 6.8952
_cell_length_c 6.8952
_cell_angle_alpha 132.96
_cell_angle_beta 105.44
_cell_angle_gamma 92.99
_symmetry_space_group_name_H-M 'P 1'
_symmetry_Int_Tables_number 1
loop_
_symmetry_equiv_pos_as_xyz
'x,y,z'
loop_
_atom_site_label
_atom_site_fract_x
_atom_site_fract_y
_atom_site_fract_z
Dy1 0.0000 0.0000 0.0000
Ga1 0.1772 0.6772 0.5000
Ga2 0.3421 0.3421 0.0000
Ga3 0.3513 0.0000 0.3513
Ga4 0.6487 0.0000 0.6487
Ga5 0.6579 0.6579 0.0000
Ga6 0.8228 0.3228 0.5000
Pd1 0.0000 0.0000 0.5000
Pd2 0.0000 0.5000 0.0000
Pd3 0.2397 0.5000 0.7397
Pd4 0.5000 0.0000 0.0000
Pd5 0.5000 0.5000 0.5000
Pd6 0.7603 0.5000 0.2603
```

---

The following is a computed powder diffraction line list of Dy2Ga9Pd6. It was derived from a cell relaxed with GGA-PBE, using a wavelength of 1.5418 Å.

Largest 6 diffraction maxima, low angle first, 2θ from 10° to 90°:
| 2theta | I_rel |
| --- | --- |
| 33.5 | 33 |
| 39.8 | 100 |
| 42.3 | 25 |
| 44.5 | 24 |
| 64.2 | 24 |
| 85.8 | 19 |

Structure:
```
data_Dy2Ga9Pd6
_chemical_formula_sum 'Dy2 Ga9 Pd6'
_cell_length_a 5.3457
_cell_length_b 5.3457
_cell_length_c 12.8127
_cell_angle_alpha 90.00
_cell_angle_beta 90.00
_cell_angle_gamma 120.00
_symmetry_space_group_name_H-M 'P 1'
_symmetry_Int_Tables_number 1
loop_
_symmetry_equiv_pos_as_xyz
'x,y,z'
loop_
_atom_site_label
_atom_site_fract_x
_atom_site_fract_y
_atom_site_fract_z
Dy1 0.0000 0.0000 0.1527
Dy2 0.0000 0.0000 0.8473
Ga1 0.0000 0.5000 0.0000
Ga2 0.0000 0.5000 0.3388
Ga3 0.0000 0.5000 0.6612
Ga4 0.5000 0.0000 0.0000
Ga5 0.5000 0.0000 0.3388
Ga6 0.5000 0.0000 0.6612
Ga7 0.5000 0.5000 0.0000
Ga8 0.5000 0.5000 0.3388
Ga9 0.5000 0.5000 0.6612
Pd1 0.3333 0.6667 0.1717
Pd2 0.3333 0.6667 0.5000
Pd3 0.3333 0.6667 0.8283
Pd4 0.6667 0.3333 0.1717
Pd5 0.6667 0.3333 0.5000
Pd6 0.6667 0.3333 0.8283
```

---

The following is a computed powder diffraction line list of DyGa4Pd8. It was derived from a cell relaxed with GGA-PBE, using a wavelength of 1.5418 Å.

Largest 6 diffraction maxima, low angle first, 2θ from 10° to 90°:
| 2theta | I_rel |
| --- | --- |
| 33.4 | 33 |
| 34.7 | 52 |
| 39.3 | 53 |
| 40.4 | 100 |
| 40.7 | 61 |
| 44.5 | 60 |

Structure:
```
data_DyGa4Pd8
_chemical_formula_sum 'Dy1 Ga4 Pd8'
_cell_length_a 6.8140
_cell_length_b 6.8140
_cell_length_c 6.8140
_cell_angle_alpha 98.90
_cell_angle_beta 98.90
_cell_angle_gamma 133.68
_symmetry_space_group_name_H-M 'P 1'
_symmetry_Int_Tables_number 1
loop_
_symmetry_equiv_pos_as_xyz
'x,y,z'
loop_
_atom_site_label
_atom_site_fract_x
_atom_site_fract_y
_atom_site_fract_z
Dy1 0.0000 0.0000 0.0000
Ga1 0.0000 0.0000 0.5000
Ga2 0.0000 0.5000 0.0000
Ga3 0.5000 0.0000 0.0000
Ga4 0.5000 0.5000 0.5000
Pd1 0.0000 0.3358 0.3358
Pd2 0.0000 0.6642 0.6642
Pd3 0.2783 0.5000 0.7783
Pd4 0.3358 0.0000 0.3358
Pd5 0.5000 0.2783 0.7783
Pd6 0.5000 0.7217 0.2217
Pd7 0.6642 0.0000 0.6642
Pd8 0.7217 0.5000 0.2217
```

---

The following is a computed powder diffraction line list of DyGa3Pd3. It was derived from a cell relaxed with GGA-PBE, using a wavelength of 1.5418 Å.

Largest 6 diffraction maxima, low angle first, 2θ from 10° to 90°:
| 2theta | I_rel |
| --- | --- |
| 29.8 | 77 |
| 37.6 | 34 |
| 39.5 | 100 |
| 40.3 | 68 |
| 41.2 | 56 |
| 52.4 | 31 |

Structure:
```
data_DyGa3Pd3
_chemical_formula_sum 'Dy2 Ga6 Pd6'
_cell_length_a 7.2701
_cell_length_b 7.2701
_cell_length_c 7.2701
_cell_angle_alpha 56.59
_cell_angle_beta 56.59
_cell_angle_gamma 56.59
_symmetry_space_group_name_H-M 'P 1'
_symmetry_Int_Tables_number 1
loop_
_symmetry_equiv_pos_as_xyz
'x,y,z'
loop_
_atom_site_label
_atom_site_fract_x
_atom_site_fract_y
_atom_site_fract_z
Dy1 0.1611 0.1611 0.1611
Dy2 0.8389 0.8389 0.8389
Ga1 0.0369 0.2330 0.6003
Ga2 0.2330 0.6003 0.0369
Ga3 0.3997 0.9631 0.7670
Ga4 0.6003 0.0368 0.2330
Ga5 0.7670 0.3997 0.9631
Ga6 0.9631 0.7670 0.3997
Pd1 0.1931 0.4236 0.6773
Pd2 0.3227 0.8069 0.5764
Pd3 0.4236 0.6773 0.1931
Pd4 0.5764 0.3227 0.8069
Pd5 0.6773 0.1931 0.4236
Pd6 0.8069 0.5764 0.3227
```

---

The following is a computed powder diffraction line list of Dy2GaPd4. It was derived from a cell relaxed with GGA-PBE, using a wavelength of 1.5418 Å.

Largest 6 diffraction maxima, low angle first, 2θ from 10° to 90°:
| 2theta | I_rel |
| --- | --- |
| 20.3 | 29 |
| 30.9 | 66 |
| 37.2 | 100 |
| 41.3 | 52 |
| 52.4 | 22 |
| 64.3 | 28 |

Structure:
```
data_Dy2GaPd4
_chemical_formula_sum 'Dy2 Ga1 Pd4'
_cell_length_a 5.8393
_cell_length_b 5.8393
_cell_length_c 5.8393
_cell_angle_alpha 116.05
_cell_angle_beta 116.05
_cell_angle_gamma 97.00
_symmetry_space_group_name_H-M 'P 1'
_symmetry_Int_Tables_number 1
loop_
_symmetry_equiv_pos_as_xyz
'x,y,z'
loop_
_atom_site_label
_atom_site_fract_x
_atom_site_fract_y
_atom_site_fract_z
Dy1 0.2500 0.7500 0.5000
Dy2 0.7500 0.2500 0.5000
Ga1 0.0000 0.0000 0.0000
Pd1 0.2807 0.2807 0.5614
Pd2 0.2807 0.7193 0.0000
Pd3 0.7193 0.2807 0.0000
Pd4 0.7193 0.7193 0.4386
```

---

The following is a computed powder diffraction line list of Dy3Ga5Pd6. It was derived from a cell relaxed with GGA-PBE, using a wavelength of 1.5418 Å.

Largest 6 diffraction maxima, low angle first, 2θ from 10° to 90°:
| 2theta | I_rel |
| --- | --- |
| 35.4 | 100 |
| 36.5 | 66 |
| 39.1 | 33 |
| 40.2 | 28 |
| 41.5 | 56 |
| 56.4 | 23 |

Structure:
```
data_Dy3Ga5Pd6
_chemical_formula_sum 'Dy6 Ga10 Pd12'
_cell_length_a 4.3497
_cell_length_b 13.0921
_cell_length_c 8.9524
_cell_angle_alpha 90.00
_cell_angle_beta 90.00
_cell_angle_gamma 90.00
_symmetry_space_group_name_H-M 'P 1'
_symmetry_Int_Tables_number 1
loop_
_symmetry_equiv_pos_as_xyz
'x,y,z'
loop_
_atom_site_label
_atom_site_fract_x
_atom_site_fract_y
_atom_site_fract_z
Dy1 0.2500 0.0532 0.2452
Dy2 0.2500 0.4468 0.2452
Dy3 0.2500 0.7500 0.2369
Dy4 0.7500 0.2500 0.7631
Dy5 0.7500 0.5532 0.7548
Dy6 0.7500 0.9468 0.7548
Ga1 0.2500 0.0913 0.8766
Ga2 0.2500 0.4087 0.8766
Ga3 0.2500 0.6316 0.5310
Ga4 0.2500 0.7500 0.7828
Ga5 0.2500 0.8684 0.5310
Ga6 0.7500 0.1316 0.4690
Ga7 0.7500 0.2500 0.2172
Ga8 0.7500 0.3684 0.4690
Ga9 0.7500 0.5913 0.1234
Ga10 0.7500 0.9087 0.1234
Pd1 0.2500 0.0628 0.5952
Pd2 0.2500 0.2500 0.0478
Pd3 0.2500 0.2500 0.4206
Pd4 0.2500 0.4372 0.5952
Pd5 0.2500 0.6016 0.9768
Pd6 0.2500 0.8984 0.9768
Pd7 0.7500 0.1016 0.0232
Pd8 0.7500 0.3984 0.0232
Pd9 0.7500 0.5628 0.4048
Pd10 0.7500 0.7500 0.5794
Pd11 0.7500 0.7500 0.9522
Pd12 0.7500 0.9372 0.4048
```

---

The following is a computed powder diffraction line list of DyGa3Pd10. It was derived from a cell relaxed with GGA-PBE, using a wavelength of 1.5418 Å.

Largest 6 diffraction maxima, low angle first, 2θ from 10° to 90°:
| 2theta | I_rel |
| --- | --- |
| 32.2 | 34 |
| 37.6 | 100 |
| 41.1 | 51 |
| 43.1 | 55 |
| 48.6 | 40 |
| 74.9 | 31 |

Structure:
```
data_DyGa3Pd10
_chemical_formula_sum 'Dy2 Ga6 Pd20'
_cell_length_a 8.7877
_cell_length_b 8.7877
_cell_length_c 8.7877
_cell_angle_alpha 60.00
_cell_angle_beta 60.00
_cell_angle_gamma 60.00
_symmetry_space_group_name_H-M 'P 1'
_symmetry_Int_Tables_number 1
loop_
_symmetry_equiv_pos_as_xyz
'x,y,z'
loop_
_atom_site_label
_atom_site_fract_x
_atom_site_fract_y
_atom_site_fract_z
Dy1 0.2500 0.2500 0.2500
Dy2 0.7500 0.7500 0.7500
Ga1 0.2281 0.2281 0.7719
Ga2 0.2281 0.7719 0.2281
Ga3 0.2281 0.7719 0.7719
Ga4 0.7719 0.2281 0.2281
Ga5 0.7719 0.2281 0.7719
Ga6 0.7719 0.7719 0.2281
Pd1 0.1214 0.1214 0.1214
Pd2 0.1214 0.1214 0.6358
Pd3 0.1214 0.6358 0.1214
Pd4 0.1560 0.5000 0.5000
Pd5 0.1560 0.5000 0.8440
Pd6 0.1560 0.8440 0.5000
Pd7 0.3642 0.8786 0.8786
Pd8 0.5000 0.1560 0.5000
Pd9 0.5000 0.1560 0.8440
Pd10 0.5000 0.5000 0.1560
Pd11 0.5000 0.5000 0.8440
Pd12 0.5000 0.8440 0.1560
Pd13 0.5000 0.8440 0.5000
Pd14 0.6358 0.1214 0.1214
Pd15 0.8440 0.1560 0.5000
Pd16 0.8440 0.5000 0.1560
Pd17 0.8440 0.5000 0.5000
Pd18 0.8786 0.3642 0.8786
Pd19 0.8786 0.8786 0.3642
Pd20 0.8786 0.8786 0.8786
```

---

The following is a computed powder diffraction line list of Dy2ZnGa2Pd5. It was derived from a cell relaxed with GGA-PBE, using a wavelength of 1.5418 Å.

Largest 6 diffraction maxima, low angle first, 2θ from 10° to 90°:
| 2theta | I_rel |
| --- | --- |
| 32.1 | 27 |
| 35.7 | 25 |
| 37.1 | 56 |
| 38.0 | 100 |
| 38.2 | 32 |
| 41.2 | 32 |

Structure:
```
data_Dy2ZnGa2Pd5
_chemical_formula_sum 'Dy4 Zn2 Ga4 Pd10'
_cell_length_a 10.0027
_cell_length_b 10.0027
_cell_length_c 3.5713
_cell_angle_alpha 90.00
_cell_angle_beta 90.00
_cell_angle_gamma 90.00
_symmetry_space_group_name_H-M 'P 1'
_symmetry_Int_Tables_number 1
loop_
_symmetry_equiv_pos_as_xyz
'x,y,z'
loop_
_atom_site_label
_atom_site_fract_x
_atom_site_fract_y
_atom_site_fract_z
Dy1 0.1745 0.3255 0.0000
Dy2 0.3255 0.8255 0.0000
Dy3 0.6745 0.1745 0.0000
Dy4 0.8255 0.6745 0.0000
Zn1 0.0000 0.0000 0.0000
Zn2 0.5000 0.5000 0.0000
Ga1 0.1256 0.6256 0.0000
Ga2 0.3744 0.1256 0.0000
Ga3 0.6256 0.8744 0.0000
Ga4 0.8744 0.3744 0.0000
Pd1 0.0000 0.5000 0.5000
Pd2 0.0557 0.7989 0.5000
Pd3 0.2011 0.0557 0.5000
Pd4 0.2989 0.5557 0.5000
Pd5 0.4443 0.2989 0.5000
Pd6 0.5000 0.0000 0.5000
Pd7 0.5557 0.7011 0.5000
Pd8 0.7011 0.4443 0.5000
Pd9 0.7989 0.9443 0.5000
Pd10 0.9443 0.2011 0.5000
```

---

The following is a computed powder diffraction line list of Pm8Dy2Ga. It was derived from a cell relaxed with GGA-PBE, using a wavelength of 1.5418 Å.

Largest 6 diffraction maxima, low angle first, 2θ from 10° to 90°:
| 2theta | I_rel |
| --- | --- |
| 25.9 | 17 |
| 30.3 | 38 |
| 32.2 | 33 |
| 32.7 | 100 |
| 57.8 | 20 |
| 59.3 | 18 |

Structure:
```
data_Pm8Dy2Ga
_chemical_formula_sum 'Pm8 Dy2 Ga1'
_cell_length_a 9.8801
_cell_length_b 9.8801
_cell_length_c 7.5047
_cell_angle_alpha 112.28
_cell_angle_beta 112.28
_cell_angle_gamma 32.65
_symmetry_space_group_name_H-M 'P 1'
_symmetry_Int_Tables_number 1
loop_
_symmetry_equiv_pos_as_xyz
'x,y,z'
loop_
_atom_site_label
_atom_site_fract_x
_atom_site_fract_y
_atom_site_fract_z
Pm1 0.9999 0.9999 0.2476
Pm2 0.0001 0.0001 0.7524
Pm3 0.1824 0.1824 0.1829
Pm4 0.3681 0.3681 0.1326
Pm5 0.3685 0.3685 0.6031
Pm6 0.6315 0.6315 0.3969
Pm7 0.6319 0.6319 0.8674
Pm8 0.8176 0.8176 0.8171
Dy1 0.1917 0.1917 0.6916
Dy2 0.8083 0.8083 0.3084
Ga1 0.5000 0.5000 0.0000
```